The following is a computed powder X-ray diffraction pattern of Te5Pt3. It was derived from a crystal structure in Alexandria, relaxed with PBE, using Cu Kα, 1.54184 Å.
Lines closer than 0.1° are merged.

Cell and atoms:
Lattice parameters (Å, degrees): 7.9143 12.5816 4.0521 90.00 90.00 90.00
Space group Cmmm (No. 65)
One atom of each set of equivalent atoms:
Te 0.0000 0.0000 0.0000
Te 0.2187 0.5000 0.5000
Te 0.2500 0.2500 0.0000
Pt 0.0000 0.3281 0.5000
Pt 0.0000 0.5000 0.0000

Most intense lines, 2θ from 10° to 90°, most intense first:
| two_theta | d [Å] | intensity |
| --- | --- | --- |
| 34.7 | 2.582 | 100 |
| 13.2 | 6.699 | 43 |
| 28.4 | 3.145 | 19 |
| 32.7 | 2.735 | 18 |
| 44.7 | 2.026 | 17 |
| 46.4 | 1.956 | 15 |
| 45.9 | 1.979 | 14 |
| 43.0 | 2.104 | 11 |
| 76.0 | 1.253 | 10 |
| 66.0 | 1.416 | 10 |

The following is a computed powder X-ray diffraction pattern of Tb7Pr2Th4. It was derived from a crystal structure in Alexandria, relaxed with PBE, using Cu Kα, 1.54184 Å.
Lines closer than 0.1° are merged.

Cell and atoms:
Lattice parameters (Å, degrees): 6.1142 6.1142 13.4072 90.00 90.00 120.00
Space group P-31m (No. 162)
One atom of each set of equivalent atoms:
Tb 0.0000 0.0000 0.0000
Tb 0.0000 0.3632 0.2189
Pr 0.3333 0.6667 0.0000
Th 0.0000 0.0000 0.3908
Th 0.3333 0.6667 0.5000

Most intense lines, 2θ from 10° to 90°, most intense first:
| two_theta | d [Å] | intensity |
| --- | --- | --- |
| 32.2 | 2.782 | 100 |
| 30.0 | 2.981 | 46 |
| 51.8 | 1.765 | 31 |
| 31.6 | 2.832 | 24 |
| 35.6 | 2.523 | 24 |
| 29.2 | 3.057 | 24 |
| 26.1 | 3.415 | 21 |
| 62.3 | 1.490 | 18 |
| 50.6 | 1.804 | 18 |
| 26.6 | 3.352 | 18 |